Starting from a GGA+U-relaxed structure, the PXRD pattern of Li3MnB2O6 was simulated for Cu Ka.
Kinematic intensities with the Lorentz-polarization factor, no thermal factor.

Atomic structure:
Unit cell a=6.128 b=8.037 c=10.936 alpha=90.00 beta=117.02 gamma=90.00
Sites, in units of the cell vectors:
Li (0.128, 0.050, 0.398)
Li (0.128, 0.450, 0.898)
Li (0.159, 0.205, 0.132)
Li (0.159, 0.295, 0.632)
Li (0.308, 0.713, 0.355)
Li (0.308, 0.787, 0.855)
Li (0.692, 0.213, 0.145)
Li (0.692, 0.287, 0.645)
Li (0.841, 0.705, 0.368)
Li (0.841, 0.795, 0.868)
Li (0.872, 0.550, 0.102)
Li (0.872, 0.950, 0.602)
Mn (0.433, 0.592, 0.620)
Mn (0.433, 0.908, 0.120)
Mn (0.567, 0.092, 0.880)
Mn (0.567, 0.408, 0.380)
B (0.064, 0.138, 0.851)
B (0.064, 0.362, 0.351)
B (0.372, 0.570, 0.131)
B (0.372, 0.930, 0.631)
B (0.628, 0.070, 0.369)
B (0.628, 0.430, 0.869)
B (0.936, 0.638, 0.649)
B (0.936, 0.862, 0.149)
O (0.038, 0.232, 0.266)
O (0.038, 0.268, 0.766)
O (0.120, 0.589, 0.618)
O (0.120, 0.911, 0.118)
O (0.255, 0.077, 0.592)
O (0.255, 0.423, 0.092)
O (0.283, 0.045, 0.913)
O (0.283, 0.455, 0.413)
O (0.374, 0.686, 0.036)
O (0.374, 0.814, 0.536)
O (0.497, 0.614, 0.271)
O (0.497, 0.886, 0.771)
O (0.503, 0.114, 0.229)
O (0.503, 0.386, 0.729)
O (0.626, 0.186, 0.464)
O (0.626, 0.314, 0.964)
O (0.717, 0.545, 0.587)
O (0.717, 0.955, 0.087)
O (0.745, 0.577, 0.908)
O (0.745, 0.923, 0.408)
O (0.880, 0.089, 0.882)
O (0.880, 0.411, 0.382)
O (0.962, 0.732, 0.234)
O (0.962, 0.768, 0.734)

Main lines, low angle first (2θ = 10–90°):
- 14.29 deg, d = 6.200 Å, I 100, (0 1 1)
- 16.24 deg, d = 5.459 Å, I 64, (1 0 0)
- 21.33 deg, d = 4.166 Å, I 63, (0 1 2)
- 29.35 deg, d = 3.043 Å, I 44, (2 0 -2)
- 29.65 deg, d = 3.013 Å, I 45, (1 0 2)
- 35.54 deg, d = 2.526 Å, I 46, (0 2 3)